Diffraction record for Sr4Nb3O10. The X-ray diffraction stick pattern is simulated, not measured: it uses a DFT-relaxed cell (PBE, Alexandria) and Cu Kα.

Main lines, low angle first (2θ from 10° to 90°):
2theta	intensity
30.73	1000
30.87	601
43.80	155
44.22	384
54.55	178
54.81	395
64.00	183
64.32	119
73.00	186
81.08	89
89.23	92
89.44	106

Atomic structure:
abc: 14.754 14.754 14.754
angles: 164.04 164.04 22.65
Sites, in units of the cell vectors:
Sr 0.069 0.069 0.000
Sr 0.203 0.203 0.000
Sr 0.797 0.797 0.000
Sr 0.931 0.931 0.000
Nb 0.359 0.359 0.000
Nb 0.500 0.500 0.000
Nb 0.641 0.641 0.000
O 0.000 0.500 0.500
O 0.141 0.641 0.500
O 0.287 0.287 0.000
O 0.359 0.859 0.500
O 0.429 0.429 0.000
O 0.500 0.000 0.500
O 0.571 0.571 0.000
O 0.641 0.141 0.500
O 0.713 0.713 0.000
O 0.859 0.359 0.500

Diffraction record for SrNb4O6. The X-ray diffraction stick pattern is simulated, not measured: it uses a DFT-relaxed cell (PBE, Alexandria) and Cu Kα.

Main lines, low angle first (2θ from 10° to 90°):
2theta	intensity
10.81	369
21.04	178
30.42	1000
31.91	835
37.28	282
42.84	783
44.26	394
45.01	380
53.44	396
62.20	239
63.29	463
79.47	223

Atomic structure:
abc: 4.222 4.222 8.187
angles: 90.00 90.00 90.00
Sites, in units of the cell vectors:
Sr 0.000 0.000 0.000
Nb 0.000 0.500 0.500
Nb 0.500 0.000 0.500
Nb 0.500 0.500 0.251
Nb 0.500 0.500 0.749
O 0.000 0.000 0.500
O 0.000 0.500 0.237
O 0.000 0.500 0.763
O 0.500 0.000 0.237
O 0.500 0.000 0.763
O 0.500 0.500 0.000

Diffraction record for Sr5Nb4O15. The X-ray diffraction stick pattern is simulated, not measured: it uses a DFT-relaxed cell (PBE, Alexandria) and Cu Kα.

Main lines, low angle first (2θ from 10° to 90°):
2theta	intensity
29.16	1000
31.16	771
43.20	536
50.40	238
54.22	359
55.45	191
60.46	142
64.99	145
69.59	167
72.77	148
81.49	103
89.57	105

Atomic structure:
abc: 5.740 5.740 23.328
angles: 90.00 90.00 120.00
Sites, in units of the cell vectors:
Sr 0.000 0.000 0.250
Sr 0.000 0.000 0.750
Sr 0.333 0.667 0.141
Sr 0.333 0.667 0.472
Sr 0.333 0.667 0.641
Sr 0.333 0.667 0.972
Sr 0.667 0.333 0.028
Sr 0.667 0.333 0.359
Sr 0.667 0.333 0.528
Sr 0.667 0.333 0.859
Nb 0.000 0.000 0.091
Nb 0.000 0.000 0.409
Nb 0.000 0.000 0.591
Nb 0.000 0.000 0.909
Nb 0.333 0.667 0.303
Nb 0.333 0.667 0.803
Nb 0.667 0.333 0.197
Nb 0.667 0.333 0.697
O 0.000 0.452 0.250
O 0.000 0.548 0.750
O 0.095 0.332 0.056
O 0.095 0.763 0.556
O 0.114 0.331 0.846
O 0.114 0.783 0.346
O 0.217 0.331 0.346
O 0.217 0.886 0.846
O 0.237 0.332 0.556
O 0.237 0.905 0.056
O 0.331 0.114 0.654
O 0.331 0.217 0.154
O 0.332 0.095 0.444
O 0.332 0.237 0.944
O 0.452 0.000 0.250
O 0.452 0.452 0.750
O 0.548 0.000 0.750
O 0.548 0.548 0.250
O 0.668 0.763 0.056
O 0.668 0.905 0.556
O 0.669 0.783 0.846
O 0.669 0.886 0.346
O 0.763 0.095 0.944
O 0.763 0.668 0.444
O 0.783 0.114 0.154
O 0.783 0.669 0.654
O 0.886 0.217 0.654
O 0.886 0.669 0.154
O 0.905 0.237 0.444
O 0.905 0.668 0.944